(1)
Diffraction record for BaZnSe2O6. The powder XRD pattern is simulated, not measured: it uses a GGA-PBE-relaxed structure and Cu Kα X-rays.
Lines closer than 0.1° are merged.

Most intense lines, 2θ from 10° to 80°, by intensity:
| index | 2theta | d_spacing | Rel. int. |
| --- | --- | --- | --- |
| 1 4 -1 | 26.52 | 3.361 | 100 |
| 2 1 -2 | 32.34 | 2.768 | 41 |
| 1 2 1 | 29.61 | 3.017 | 38 |
| 0 3 2 | 29.31 | 3.047 | 35 |
| 0 6 1 | 34.36 | 2.610 | 31 |
| 2 2 0 | 39.62 | 2.275 | 31 |
| 1 3 -1 | 22.44 | 3.962 | 28 |
| 1 2 0 | 21.58 | 4.118 | 28 |

Structural model:
```
data_BaZnSe2O6
_chemical_formula_sum 'Ba4 Zn4 Se8 O24'
_cell_length_a 5.654
_cell_length_b 16.780
_cell_length_c 8.696
_cell_angle_alpha 90.00
_cell_angle_beta 123.30
_cell_angle_gamma 90.00
_space_group_name_H-M_alt 'P 1 21/c 1'
_space_group_IT_number 14
loop_
_space_group_symop_operation_xyz
'x,y,z'
'-x,-y,-z'
'-x,y+1/2,-z+1/2'
'x,-y+1/2,z+1/2'
loop_
_atom_site_label
_atom_site_fract_x
_atom_site_fract_y
_atom_site_fract_z
Ba1 0.016 0.218 0.150
Zn1 0.255 0.079 0.905
Se1 0.292 0.566 0.170
Se2 0.457 0.632 0.834
O1 0.091 0.649 0.689
O2 0.125 0.655 0.105
O3 0.193 0.532 0.316
O4 0.357 0.089 0.163
O5 0.447 0.218 0.543
O6 0.449 0.151 0.823
```

=====

(2)
Diffraction record for TiP. The powder XRD pattern is simulated, not measured: it uses a GGA-PBE-relaxed structure and Cu Kα X-rays.
Lines closer than 0.1° are merged.

Most intense lines, 2θ from 10° to 80°, by intensity:
| index | 2theta | d_spacing | Rel. int. |
| --- | --- | --- | --- |
| 1 0 0 | 24.27 | 3.667 | 100 |
| 1 1 0 | 42.71 | 2.117 | 78 |
| 1 1 2 | 57.70 | 1.598 | 59 |
| 0 0 2 | 36.91 | 2.435 | 41 |
| 1 0 2 | 44.67 | 2.029 | 34 |
| 1 0 1 | 30.52 | 2.929 | 14 |
| 2 0 0 | 49.73 | 1.833 | 12 |
| 3 0 0 | 78.21 | 1.222 | 12 |

Structural model:
```
data_TiP
_chemical_formula_sum 'Ti2 P2'
_cell_length_a 4.2339
_cell_length_b 4.2339
_cell_length_c 4.8709
_cell_angle_alpha 90.00
_cell_angle_beta 90.00
_cell_angle_gamma 120.00
_space_group_name_H-M_alt 'P 63/m m c'
_space_group_IT_number 194
_space_group_name_Hall '-P 6c 2c'
loop_
_atom_site_label
_atom_site_fract_x
_atom_site_fract_y
_atom_site_fract_z
Ti1 0.3333 0.6667 0.2500
P1 0.3333 0.6667 0.7500
```